Diffraction record for Mg6BMo. The powder XRD pattern is simulated, not measured: it uses a PBE-relaxed structure and a wavelength of 1.5418 Å.

Atomic structure:
```
Mg6BMo
1.0
4.533 0.000 0.000
0.000 2.971 5.671
0.000 -2.971 5.671
Mg B Mo
6 1 1
Cartesian
0.000 0.000 0.000
0.000 -1.401 8.326
0.000 1.401 8.326
2.266 0.000 1.739
2.266 -1.441 4.542
2.266 1.441 4.542
0.000 0.000 6.393
2.266 0.000 6.981
```

Principal peaks in the range 2θ = 10–90°, by angle:
- 15.6 deg, I = 54
- 16.8 deg, I = 50
- 25.9 deg, I = 57
- 34.1 deg, I = 62
- 37.4 deg, I = 79
- 39.6 deg, I = 100
- 39.8 deg, I = 42
- 53.3 deg, I = 33